(1)
FeMoAs2: theoretical powder XRD pattern (a wavelength of 1.5418 Å), based on the GGA-PBE geometry in the Materials Project.
Lines closer than 0.1° are merged.

```
FeMoAs2
1.0
3.361 0.000 0.000
0.000 6.281 0.000
0.000 0.000 5.812
Fe Mo As
2 2 4
Cartesian
0.000 0.392 0.000
0.000 5.889 2.906
1.681 2.769 5.739
1.681 3.511 2.833
0.000 1.918 3.958
0.000 4.362 1.052
1.681 1.028 1.729
1.681 5.253 4.635
```

Top 10 peaks for 5° ≤ 2θ ≤ 70°, low angle first:
30.16 deg, I 21
32.40 deg, I 37
33.96 deg, I 86
41.06 deg, I 20
42.36 deg, I 100
43.62 deg, I 87
46.08 deg, I 25
49.22 deg, I 26
51.42 deg, I 31
54.61 deg, I 28

---

(2)
NaSr2Fe6As6: theoretical powder XRD pattern (a wavelength of 1.5418 Å), based on the GGA-PBE geometry in the Materials Project.
Lines closer than 0.1° are merged.

```
NaSr2Fe6As6
1.0
8.131 -2.758 0.000
8.131 2.758 0.000
-2.323 0.000 6.089
Na Sr Fe As
1 2 6 6
Cartesian
0.000 0.000 0.000
3.913 0.000 4.108
10.025 0.000 1.981
5.029 1.379 1.024
6.969 1.381 3.045
8.910 1.379 5.065
5.029 -1.379 1.024
6.969 -1.381 3.045
8.910 -1.379 5.065
0.726 0.000 3.201
3.170 0.000 0.844
6.892 0.000 1.155
7.046 0.000 4.934
10.768 0.000 5.245
13.212 0.000 2.888
```

Top 10 peaks for 5° ≤ 2θ ≤ 70°, low angle first:
15.06 deg, I 31
32.23 deg, I 100
35.45 deg, I 20
35.96 deg, I 19
44.64 deg, I 16
45.06 deg, I 16
46.16 deg, I 48
57.06 deg, I 19
57.32 deg, I 17
57.72 deg, I 35

---

(3)
NdFe4As12: theoretical powder XRD pattern (a wavelength of 1.5418 Å), based on the GGA-PBE geometry in the Materials Project.
Lines closer than 0.1° are merged.

```
NdFe4As12
1.0
-4.181 4.181 4.181
4.181 -4.181 4.181
4.181 4.181 -4.181
Nd Fe As
1 4 12
Cartesian
0.000 0.000 0.000
2.091 2.091 -2.091
2.091 -2.091 2.091
-2.091 2.091 2.091
2.091 2.091 2.091
2.863 1.307 0.000
5.500 1.307 0.000
4.181 -1.318 2.874
2.874 4.181 -1.318
1.307 0.000 2.863
0.000 2.863 1.307
4.181 1.318 2.874
2.874 4.181 1.318
1.307 0.000 5.500
0.000 5.500 1.307
-1.318 2.874 4.181
1.318 2.874 4.181
```

Top 10 peaks for 5° ≤ 2θ ≤ 70°, low angle first:
14.98 deg, I 3
30.23 deg, I 7
33.90 deg, I 100
40.35 deg, I 51
48.69 deg, I 13
53.70 deg, I 28
56.08 deg, I 31
65.03 deg, I 10
67.16 deg, I 9
69.26 deg, I 5

---

(4)
Fe3NiAs4: theoretical powder XRD pattern (a wavelength of 1.5418 Å), based on the GGA-PBE geometry in the Materials Project.
Lines closer than 0.1° are merged.

```
Fe3NiAs4
1.0
5.263 0.000 0.000
0.000 3.469 0.000
-0.023 0.000 5.923
Fe Ni As
3 1 4
Cartesian
0.000 0.000 0.000
-0.001 1.734 3.549
2.626 0.000 0.549
2.649 1.734 2.961
1.041 1.734 1.258
1.533 0.000 4.264
3.717 1.734 5.278
4.261 0.000 2.245
```

Top 10 peaks for 5° ≤ 2θ ≤ 70°, low angle first:
34.47 deg, I 100
34.70 deg, I 23
34.82 deg, I 28
43.72 deg, I 38
45.93 deg, I 87
46.05 deg, I 19
46.24 deg, I 15
52.78 deg, I 34
53.40 deg, I 47
64.77 deg, I 18